NaSc2Os2: calculated XRD peak list (Cu Kα, 1.54184 Å), based on a PBE-relaxed structure.

Largest 6 diffraction maxima, most intense first, 5° ≤ 2θ ≤ 70°:
- (2 1 1), d 2.251, 2θ 40.06, intensity 100
- (2 1 0), d 3.660, 2θ 24.32, intensity 67
- (3 1 0), d 2.588, 2θ 34.66, intensity 48
- (1 1 0), d 5.787, 2θ 15.31, intensity 45
- (4 0 0), d 2.046, 2θ 44.27, intensity 20
- (0 0 1), d 2.855, 2θ 31.34, intensity 18

Crystal structure
```
NaSc2Os2
1.0
8.1841 0.0000 0.0000
0.0000 8.1841 0.0000
0.0000 0.0000 2.8545
Na Sc Os
2 4 4
Direct
0.0000 0.0000 0.0000 Na
0.5000 0.5000 0.0000 Na
0.1459 0.3541 0.5000 Sc
0.3541 0.8541 0.5000 Sc
0.6459 0.1459 0.5000 Sc
0.8541 0.6459 0.5000 Sc
0.1475 0.6475 0.0000 Os
0.3525 0.1475 0.0000 Os
0.6475 0.8525 0.0000 Os
0.8525 0.3525 0.0000 Os
```